1.
The following is a theoretical powder diffractogram of Li4BiAs. It was derived from a GGA-PBE-relaxed structure, using a wavelength of 1.5418 Å.

```
data_Li4BiAs
_chemical_formula_sum 'Li4 Bi1 As1'
_symmetry_space_group_name_H-M 'P 1'
_symmetry_Int_Tables_number 1
_symmetry_space_group_name_Hall 'P 1'
_cell_length_a 4.7056
_cell_length_b 4.7056
_cell_length_c 8.9324
_cell_angle_alpha 113.18
_cell_angle_beta 113.18
_cell_angle_gamma 40.35
loop_
_atom_site_label
_atom_site_type_symbol
_atom_site_fract_x
_atom_site_fract_y
_atom_site_fract_z
Li1 Li 0.1466 0.1466 0.3194
Li2 Li 0.3466 0.3466 0.1324
Li3 Li 0.6534 0.6534 0.8676
Li4 Li 0.8534 0.8534 0.6806
Bi1 Bi 0.5000 0.5000 0.5000
As1 As 0.0000 0.0000 0.0000
```

Top 6 peaks for 2θ = 10–90°, by angle:
10.9°, intensity 87; 21.9°, intensity 97; 22.2°, intensity 95; 23.8°, intensity 76; 30.0°, intensity 100; 33.4°, intensity 62


2.
The following is a theoretical powder diffractogram of Li8Bi2As. It was derived from a GGA-PBE-relaxed structure, using a wavelength of 1.5418 Å.

```
data_Li8Bi2As
_chemical_formula_sum 'Li8 Bi2 As1'
_symmetry_space_group_name_H-M 'P 1'
_symmetry_Int_Tables_number 1
_symmetry_space_group_name_Hall 'P 1'
_cell_length_a 8.0244
_cell_length_b 8.0244
_cell_length_c 8.0244
_cell_angle_alpha 146.49
_cell_angle_beta 132.44
_cell_angle_gamma 59.43
loop_
_atom_site_label
_atom_site_type_symbol
_atom_site_fract_x
_atom_site_fract_y
_atom_site_fract_z
Li1 Li 0.1118 0.3591 0.7527
Li2 Li 0.1808 0.1808 0.0000
Li3 Li 0.2393 0.0000 0.2393
Li4 Li 0.3936 0.6409 0.7527
Li5 Li 0.6064 0.3591 0.2473
Li6 Li 0.7607 0.0000 0.7607
Li7 Li 0.8192 0.8192 0.0000
Li8 Li 0.8882 0.6409 0.2473
Bi1 Bi 0.3219 0.8219 0.5000
Bi2 Bi 0.6781 0.1781 0.5000
As1 As 0.0000 0.5000 0.5000
```

Top 6 peaks for 2θ = 10–90°, by angle:
23.6°, intensity 100; 27.2°, intensity 33; 27.6°, intensity 17; 39.1°, intensity 33; 46.0°, intensity 17; 46.4°, intensity 17


3.
The following is a theoretical powder diffractogram of LiBi2As2Pb2O10. It was derived from a GGA-PBE-relaxed structure, using a wavelength of 1.5418 Å.

```
data_LiBi2As2Pb2O10
_chemical_formula_sum 'Li1 Bi2 As2 Pb2 O10'
_symmetry_space_group_name_H-M 'P 1'
_symmetry_Int_Tables_number 1
_symmetry_space_group_name_Hall 'P 1'
_cell_length_a 5.8899
_cell_length_b 7.4309
_cell_length_c 7.5266
_cell_angle_alpha 108.10
_cell_angle_beta 95.81
_cell_angle_gamma 111.74
loop_
_atom_site_label
_atom_site_type_symbol
_atom_site_fract_x
_atom_site_fract_y
_atom_site_fract_z
Li1 Li 0.0000 0.0000 0.0000
Bi1 Bi 0.4334 0.8694 0.9359
Bi2 Bi 0.6244 0.9641 0.4268
As1 As 0.1925 0.2708 0.8408
As2 As 0.9008 0.5901 0.5657
Pb1 Pb 0.2888 0.3154 0.3739
Pb2 Pb 0.8512 0.6100 0.0994
O1 O 0.1174 0.1536 0.5913
O2 O 0.1953 0.6268 0.5136
O3 O 0.2943 0.9012 0.1932
O4 O 0.3601 0.1765 0.9643
O5 O 0.3922 0.5349 0.9158
O6 O 0.6953 0.3202 0.5087
O7 O 0.7146 0.6680 0.4237
O8 O 0.7855 0.9368 0.1761
O9 O 0.9191 0.2104 0.9183
O10 O 0.9809 0.7317 0.8234
```

Top 6 peaks for 2θ = 10–90°, by angle:
24.5°, intensity 33; 25.7°, intensity 100; 26.0°, intensity 44; 27.1°, intensity 46; 29.7°, intensity 32; 30.0°, intensity 32


4.
The following is a theoretical powder diffractogram of LiBi2As2Pb2O10. It was derived from a GGA-PBE-relaxed structure, using a wavelength of 1.5418 Å.

```
data_LiBi2As2Pb2O10
_chemical_formula_sum 'Li1 Bi2 As2 Pb2 O10'
_symmetry_space_group_name_H-M 'P 1'
_symmetry_Int_Tables_number 1
_symmetry_space_group_name_Hall 'P 1'
_cell_length_a 6.0417
_cell_length_b 7.3256
_cell_length_c 7.5043
_cell_angle_alpha 69.71
_cell_angle_beta 81.59
_cell_angle_gamma 66.88
loop_
_atom_site_label
_atom_site_type_symbol
_atom_site_fract_x
_atom_site_fract_y
_atom_site_fract_z
Li1 Li 0.0000 0.0000 0.0000
Bi1 Bi 0.7664 0.3716 0.6286
Bi2 Bi 0.8713 0.4181 0.1385
As1 As 0.1013 0.7491 0.7459
As2 As 0.4943 0.0103 0.0237
Pb1 Pb 0.2269 0.6381 0.3309
Pb2 Pb 0.4920 0.0297 0.5132
O1 O 0.0405 0.3870 0.3879
O2 O 0.0496 0.0106 0.7335
O3 O 0.1016 0.6168 0.9953
O4 O 0.1979 0.0975 0.1059
O5 O 0.3800 0.6523 0.6226
O6 O 0.5094 0.1370 0.7822
O7 O 0.5531 0.7439 0.0761
O8 O 0.6015 0.3440 0.4019
O9 O 0.6929 0.0480 0.1366
O10 O 0.8810 0.7268 0.6317
```

Top 6 peaks for 2θ = 10–90°, by angle:
24.8°, intensity 100; 26.3°, intensity 86; 26.6°, intensity 80; 30.0°, intensity 48; 30.2°, intensity 65; 31.3°, intensity 47


5.
The following is a theoretical powder diffractogram of LiBi2As2Pb2O10. It was derived from a GGA-PBE-relaxed structure, using a wavelength of 1.5418 Å.

```
data_LiBi2As2Pb2O10
_chemical_formula_sum 'Li1 Bi2 As2 Pb2 O10'
_symmetry_space_group_name_H-M 'P 1'
_symmetry_Int_Tables_number 1
_symmetry_space_group_name_Hall 'P 1'
_cell_length_a 6.1657
_cell_length_b 7.2559
_cell_length_c 7.3612
_cell_angle_alpha 110.37
_cell_angle_beta 92.42
_cell_angle_gamma 106.41
loop_
_atom_site_label
_atom_site_type_symbol
_atom_site_fract_x
_atom_site_fract_y
_atom_site_fract_z
Li1 Li 0.0000 0.0000 0.0000
Bi1 Bi 0.4792 0.8936 0.1963
Bi2 Bi 0.5696 0.0003 0.7000
As1 As 0.3591 0.3163 0.1446
As2 As 0.8547 0.5908 0.8212
Pb1 Pb 0.1140 0.2566 0.5724
Pb2 Pb 0.9275 0.6425 0.3349
O1 O 0.0324 0.5820 0.6384
O2 O 0.0484 0.7516 0.0460
O3 O 0.1021 0.2796 0.2355
O4 O 0.2839 0.1397 0.9049
O5 O 0.2943 0.9156 0.4378
O6 O 0.4910 0.5645 0.1617
O7 O 0.5505 0.2550 0.2744
O8 O 0.7317 0.8044 0.8160
O9 O 0.7686 0.9695 0.4397
O10 O 0.8339 0.3137 0.8125
```

Top 6 peaks for 2θ = 10–90°, by angle:
23.6°, intensity 100; 27.0°, intensity 97; 28.2°, intensity 72; 28.8°, intensity 70; 29.3°, intensity 46; 30.2°, intensity 38


6.
The following is a theoretical powder diffractogram of LiBi2As2Pb2O10. It was derived from a GGA-PBE-relaxed structure, using a wavelength of 1.5418 Å.

```
data_LiBi2As2Pb2O10
_chemical_formula_sum 'Li1 Bi2 As2 Pb2 O10'
_symmetry_space_group_name_H-M 'P 1'
_symmetry_Int_Tables_number 1
_symmetry_space_group_name_Hall 'P 1'
_cell_length_a 6.4964
_cell_length_b 6.6831
_cell_length_c 7.8524
_cell_angle_alpha 94.35
_cell_angle_beta 108.49
_cell_angle_gamma 110.52
loop_
_atom_site_label
_atom_site_type_symbol
_atom_site_fract_x
_atom_site_fract_y
_atom_site_fract_z
Li1 Li 0.0000 0.0000 0.0000
Bi1 Bi 0.0029 0.1929 0.6601
Bi2 Bi 0.9971 0.8071 0.3399
As1 As 0.4302 0.7600 0.6579
As2 As 0.5698 0.2400 0.3421
Pb1 Pb 0.3254 0.6457 0.0959
Pb2 Pb 0.6746 0.3543 0.9041
O1 O 0.0375 0.2912 0.9370
O2 O 0.2652 0.1190 0.2892
O3 O 0.2709 0.6627 0.4161
O4 O 0.3072 0.9338 0.7157
O5 O 0.3662 0.5326 0.7614
O6 O 0.6338 0.4674 0.2386
O7 O 0.6928 0.0662 0.2843
O8 O 0.7291 0.3373 0.5839
O9 O 0.7348 0.8810 0.7108
O10 O 0.9625 0.7088 0.0630
```

Top 6 peaks for 2θ = 10–90°, by angle:
16.9°, intensity 100; 25.3°, intensity 36; 27.3°, intensity 61; 29.1°, intensity 32; 29.9°, intensity 27; 31.9°, intensity 47